(1)
Computed XRD peak list of Ho7GeSe5 for Cu Kα, 1.54184 Å, from a DFT-relaxed cell (GGA-PBE, Alexandria).
Neutral-atom scattering factors, no anomalous dispersion.

Structural model:
```
Ho7GeSe5
1.0
2.015 -6.586 0.000
2.015 6.586 0.000
0.000 0.000 23.958
Ho Ge Se
14 2 10
Cartesian
2.015 6.130 17.968 Ho
2.015 4.752 0.908 Ho
2.015 4.752 11.070 Ho
2.015 2.567 16.321 Ho
2.015 2.567 19.616 Ho
2.015 1.239 2.870 Ho
2.015 1.239 9.108 Ho
2.015 -1.239 14.849 Ho
2.015 -1.239 21.087 Ho
2.015 -2.567 4.342 Ho
2.015 -2.567 7.637 Ho
2.015 -4.752 12.887 Ho
2.015 -4.752 23.049 Ho
2.015 -6.130 5.989 Ho
2.015 2.521 5.989 Ge
2.015 -2.521 17.968 Ge
2.015 5.894 3.450 Se
2.015 5.894 8.528 Se
2.015 3.653 13.702 Se
2.015 3.653 22.234 Se
2.015 0.000 0.000 Se
2.015 0.000 11.979 Se
2.015 -3.653 1.724 Se
2.015 -3.653 10.255 Se
2.015 -5.894 15.429 Se
2.015 -5.894 20.507 Se
```

Principal peaks in the range 10 to 90 degrees two-theta, in order of rising 2θ:
| 2theta | d/Å | intensity |
| --- | --- | --- |
| 29.4 | 3.037 | 77 |
| 30.3 | 2.946 | 33 |
| 31.0 | 2.882 | 100 |
| 32.2 | 2.783 | 59 |
| 32.9 | 2.726 | 40 |
| 41.2 | 2.190 | 41 |
| 45.0 | 2.015 | 38 |
| 45.3 | 2.003 | 32 |
| 45.4 | 1.996 | 26 |
| 54.7 | 1.679 | 27 |

=====

(2)
Computed XRD peak list of Ho3GeSe for Cu Kα, 1.54184 Å, from a DFT-relaxed cell (GGA-PBE, Alexandria).
Neutral-atom scattering factors, no anomalous dispersion.

Structural model:
```
Ho3GeSe
1.0
4.100 0.000 0.000
0.000 9.787 3.412
0.000 -9.787 3.412
Ho Ge Se
6 2 2
Cartesian
1.025 -8.240 3.412 Ho
1.025 -1.559 3.548 Ho
1.025 4.907 2.286 Ho
3.075 -4.907 2.286 Ho
3.075 1.559 3.548 Ho
3.075 8.240 3.412 Ho
1.025 3.168 4.580 Ge
3.075 -3.168 4.580 Ge
1.025 -3.117 1.176 Se
3.075 3.117 1.176 Se
```

Principal peaks in the range 10 to 90 degrees two-theta, in order of rising 2θ:
| 2theta | d/Å | intensity |
| --- | --- | --- |
| 27.3 | 3.262 | 18 |
| 27.7 | 3.222 | 30 |
| 28.9 | 3.094 | 100 |
| 32.0 | 2.799 | 18 |
| 34.3 | 2.615 | 41 |
| 38.2 | 2.358 | 21 |
| 41.3 | 2.188 | 14 |
| 44.2 | 2.050 | 18 |
| 45.9 | 1.979 | 32 |
| 49.3 | 1.849 | 24 |